No. 1
Structure and simulated X-ray powder pattern of Sm4Ho6Zr (a structure optimized by DFT (PBE); a wavelength of 1.5418 Å).
Peak positions follow from Bragg's law for the DFT cell and can differ from measured ones.

Structure:
Cell: 8.675 8.675 9.100 Å, 90.00 90.00 90.00°
Sites, in units of the cell vectors:
1 Sm 0.145 0.355 0.250
2 Sm 0.145 0.355 0.750
3 Sm 0.355 0.855 0.250
4 Sm 0.355 0.855 0.750
5 Sm 0.645 0.145 0.250
6 Sm 0.645 0.145 0.750
7 Sm 0.855 0.645 0.250
8 Sm 0.855 0.645 0.750
9 Ho 0.000 0.000 0.175
10 Ho 0.000 0.000 0.825
11 Ho 0.153 0.657 0.500
12 Ho 0.157 0.653 0.000
13 Ho 0.343 0.153 0.500
14 Ho 0.347 0.157 0.000
15 Ho 0.500 0.500 0.325
16 Ho 0.500 0.500 0.675
17 Ho 0.653 0.843 0.000
18 Ho 0.657 0.847 0.500
19 Ho 0.843 0.347 0.000
20 Ho 0.847 0.343 0.500
21 Zr 0.000 0.000 0.500
22 Zr 0.500 0.500 0.000

Top 12 peaks for 2θ = 10–90°, by intensity:
2theta	intensity
30.28	100
32.64	55
60.99	30
52.24	11
47.62	11
66.15	11
39.62	10
37.64	10
31.24	9
29.12	9
58.83	9
46.84	9

=====

No. 2
Structure and simulated X-ray powder pattern of Mg2Si3Rh4 (a structure optimized by DFT (PBE); a wavelength of 1.5418 Å).
Peak positions follow from Bragg's law for the DFT cell and can differ from measured ones.

Structure:
Cell: 7.369 7.369 7.069 Å, 90.00 90.00 135.49°
Sites, in units of the cell vectors:
1 Mg 0.106 0.894 0.924
2 Mg 0.394 0.606 0.424
3 Mg 0.606 0.394 0.576
4 Mg 0.894 0.106 0.076
5 Si 0.000 0.000 0.500
6 Si 0.024 0.476 0.750
7 Si 0.476 0.024 0.250
8 Si 0.500 0.500 0.000
9 Si 0.524 0.976 0.750
10 Si 0.976 0.524 0.250
11 Rh 0.180 0.820 0.533
12 Rh 0.196 0.304 0.750
13 Rh 0.304 0.196 0.250
14 Rh 0.320 0.680 0.033
15 Rh 0.680 0.320 0.967
16 Rh 0.696 0.804 0.750
17 Rh 0.804 0.696 0.250
18 Rh 0.820 0.180 0.467

Top 12 peaks for 2θ = 10–90°, by intensity:
2theta	intensity
41.21	100
38.89	51
28.29	48
37.05	42
29.08	41
28.44	39
40.50	33
21.30	28
18.07	28
41.76	27
34.73	25
47.56	23

=====

No. 3
Structure and simulated X-ray powder pattern of ScCrBi2 (a structure optimized by DFT (PBE); a wavelength of 1.5418 Å).
Peak positions follow from Bragg's law for the DFT cell and can differ from measured ones.

Structure:
Cell: 4.968 4.968 4.968 Å, 60.00 60.00 60.00°
Sites, in units of the cell vectors:
1 Sc 0.000 0.000 0.000
2 Cr 0.500 0.500 0.500
3 Bi 0.250 0.250 0.250
4 Bi 0.750 0.750 0.750

Top 9 peaks for 2θ = 10–90°, by intensity:
2theta	intensity
36.16	100
25.35	45
65.03	36
58.77	20
52.07	18
87.89	17
44.68	15
76.73	11
82.35	11

=====

No. 4
Structure and simulated X-ray powder pattern of CaPm3Ir (a structure optimized by DFT (PBE); a wavelength of 1.5418 Å).
Peak positions follow from Bragg's law for the DFT cell and can differ from measured ones.

Structure:
Cell: 7.603 7.603 11.325 Å, 91.57 91.57 29.84°
Sites, in units of the cell vectors:
1 Ca 0.165 0.165 0.089
2 Ca 0.835 0.835 0.911
3 Pm 0.065 0.065 0.380
4 Pm 0.216 0.216 0.646
5 Pm 0.439 0.439 0.165
6 Pm 0.561 0.561 0.835
7 Pm 0.784 0.784 0.354
8 Pm 0.935 0.935 0.620
9 Ir 0.416 0.416 0.418
10 Ir 0.584 0.584 0.582

Top 12 peaks for 2θ = 10–90°, by intensity:
2theta	intensity
30.42	100
30.14	60
33.42	55
38.25	53
31.61	49
33.56	46
12.05	43
28.60	39
14.19	37
37.53	36
46.38	35
49.89	28

=====

- Which formula does entry 3 have?
  ScCrBi2

=====

What did the third record say?
Structure and simulated X-ray powder pattern of ScCrBi2 (a structure optimized by DFT (PBE); a wavelength of 1.5418 Å).
Peak positions follow from Bragg's law for the DFT cell and can differ from measured ones.

Structure:
Cell: 4.968 4.968 4.968 Å, 60.00 60.00 60.00°
Sites, in units of the cell vectors:
1 Sc 0.000 0.000 0.000
2 Cr 0.500 0.500 0.500
3 Bi 0.250 0.250 0.250
4 Bi 0.750 0.750 0.750

Top 9 peaks for 2θ = 10–90°, by intensity:
2theta	intensity
36.16	100
25.35	45
65.03	36
58.77	20
52.07	18
87.89	17
44.68	15
76.73	11
82.35	11